For ZrCo2Ge4O12, DFT lattice parameters and positions (PBE+U) gives the simulated X-ray powder pattern in this record (Cu Kα X-rays).

Crystal structure
```
data_ZrCo2Ge4O12
_chemical_formula_sum 'Zr2 Co4 Ge8 O24'
_space_group_name_H-M_alt 'P 4/n b m'
_space_group_IT_number 125
_cell_length_a 9.553
_cell_length_b 9.553
_cell_length_c 4.778
_cell_angle_alpha 90.00
_cell_angle_beta 90.00
_cell_angle_gamma 90.00
loop_
_space_group_symop_operation_xyz
'x,y,z'
'-x,-y,-z'
'-y+1/2,x,z'
'y+1/2,-x,-z'
'-x+1/2,-y+1/2,z'
'x+1/2,y+1/2,-z'
'y,-x+1/2,z'
'-y,x+1/2,-z'
'x,-y+1/2,-z'
'-x,y+1/2,z'
'-y+1/2,-x+1/2,-z'
'y+1/2,x+1/2,z'
'-x+1/2,y,-z'
'x+1/2,-y,z'
'y,x,-z'
'-y,-x,z'
loop_
_atom_site_label
_atom_site_type_symbol
_atom_site_fract_x
_atom_site_fract_y
_atom_site_fract_z
_atom_site_occupancy
Zr1 Zr 0.250 0.250 0.000 1
Co1 Co 0.000 0.000 0.000 1
Ge1 Ge 0.018 0.750 0.500 1
O1 O 0.073 0.161 0.237 1
O2 O 0.130 0.630 0.685 1
```

The 6 most intense peaks (2θ from 10° to 90°), by angle:
- 22.8°, intensity 21
- 32.5°, intensity 100
- 37.7°, intensity 26
- 54.3°, intensity 44
- 64.7°, intensity 37
- 89.4°, intensity 13